For Tm3Co7B2, a DFT-relaxed cell (PBE, Alexandria) gives the theoretical powder diffractogram in this record (Cu Kα X-rays).
No peak broadening, texture or thermal motion is included.

Structural model:
Cell lengths 5.0196, 5.0196, 21.0598 Å; angles 90.00, 90.00, 120.00 degrees
Space group R-3m (No. 166, hexagonal axes)
Symmetry-distinct sites (fractional):
Tm 0.0000 0.0000 0.0000 x3
Tm 0.0000 0.0000 0.1435 x6
Co 0.0000 0.0000 0.5000 x3
Co 0.0024 0.5012 0.0692 x18
B 0.0000 0.0000 0.3329 x6

Peak list (8 most intense, 15° ≤ 2θ ≤ 90°, most intense first)
2θ (°), intensity
44.37, 100.0
36.31, 85.1
41.78, 76.7
40.04, 60.7
35.78, 59.7
20.87, 38.0
64.64, 31.8
75.81, 27.2